1.
Theoretical PXRD pattern of Nd7Sm4Sc for Cu Kα X-rays, from a DFT-relaxed cell (PBE, Alexandria).
Peak positions follow from Bragg's law for the DFT cell and can differ from measured ones.

Structure:
```
data_Nd7Sm4Sc
_cell_length_a 6.316
_cell_length_b 7.321
_cell_length_c 9.062
_cell_angle_alpha 90.00
_cell_angle_beta 103.58
_cell_angle_gamma 90.00
_space_group_name_H-M_alt 'P 1 2/m 1'
_space_group_IT_number 10
_space_group_name_Hall '-P 2y'
loop_
_atom_site_label
_atom_site_type_symbol
_atom_site_fract_x
_atom_site_fract_y
_atom_site_fract_z
Nd1 Nd 0.000 0.000 0.000
Nd2 Nd 0.219 0.500 0.669
Nd3 Nd 0.227 0.000 0.665
Nd4 Nd 0.500 0.253 0.000
Sm1 Sm 0.275 0.254 0.328
Sc1 Sc 0.000 0.500 0.000
```

Principal peaks in the range 10 to 90 degrees two-theta, sorted by position:
2theta, I/Imax
28.4, 30
29.0, 17
30.4, 51
31.3, 100
33.0, 56
33.1, 27
50.0, 25
53.6, 16
59.6, 30
59.7, 15

---

2.
Theoretical PXRD pattern of HfSiNi for Cu Kα X-rays, from a DFT-relaxed cell (PBE, Alexandria).
Peak positions follow from Bragg's law for the DFT cell and can differ from measured ones.

Structure:
```
data_HfSiNi
_cell_length_a 6.432
_cell_length_b 3.789
_cell_length_c 7.236
_cell_angle_alpha 90.00
_cell_angle_beta 90.00
_cell_angle_gamma 90.00
_space_group_name_H-M_alt 'P n m a'
_space_group_IT_number 62
_space_group_name_Hall '-P 2ac 2n'
loop_
_atom_site_label
_atom_site_type_symbol
_atom_site_fract_x
_atom_site_fract_y
_atom_site_fract_z
Hf1 Hf 0.018 0.250 0.185
Si1 Si 0.228 0.750 0.385
Ni1 Ni 0.141 0.250 0.562
```

Principal peaks in the range 10 to 90 degrees two-theta, sorted by position:
2theta, I/Imax
26.6, 56
27.7, 31
37.1, 89
37.4, 29
38.8, 100
39.9, 45
44.5, 21
48.0, 30
64.2, 39
72.8, 24

---

3.
Theoretical PXRD pattern of CaGa4Pt2Rh for Cu Kα X-rays, from a DFT-relaxed cell (PBE, Alexandria).
Peak positions follow from Bragg's law for the DFT cell and can differ from measured ones.

Structure:
```
data_CaGa4Pt2Rh
_cell_length_a 4.2703
_cell_length_b 4.2703
_cell_length_c 27.0587
_cell_angle_alpha 90.00
_cell_angle_beta 90.00
_cell_angle_gamma 120.00
_space_group_name_H-M_alt 'R -3 m'
_space_group_IT_number 166
_space_group_name_Hall '-R 3 2"'
loop_
_atom_site_label
_atom_site_type_symbol
_atom_site_fract_x
_atom_site_fract_y
_atom_site_fract_z
Ca1 Ca 0.0000 0.0000 0.0000
Ga1 Ga 0.0000 0.0000 0.1328
Ga2 Ga 0.0000 0.0000 0.4007
Pt1 Pt 0.0000 0.0000 0.2350
Rh1 Rh 0.0000 0.0000 0.5000
```

Principal peaks in the range 10 to 90 degrees two-theta, sorted by position:
2theta, I/Imax
19.7, 22
25.0, 22
27.5, 27
36.0, 84
42.3, 100
44.2, 57
56.7, 22
62.9, 20
73.3, 21
78.7, 21

---

4.
Theoretical PXRD pattern of CsAcPbBr6 for Cu Kα X-rays, from a DFT-relaxed cell (PBE, Alexandria).
Peak positions follow from Bragg's law for the DFT cell and can differ from measured ones.

Structure:
```
data_CsAcPbBr6
_cell_length_a 10.890
_cell_length_b 11.225
_cell_length_c 15.911
_cell_angle_alpha 90.00
_cell_angle_beta 90.00
_cell_angle_gamma 90.00
_space_group_name_H-M_alt 'I m m a'
_space_group_IT_number 74
_space_group_name_Hall '-I 2b 2'
loop_
_atom_site_label
_atom_site_type_symbol
_atom_site_fract_x
_atom_site_fract_y
_atom_site_fract_z
Cs1 Cs 0.000 0.250 0.045
Ac1 Ac 0.000 0.000 0.500
Pb1 Pb 0.250 0.250 0.750
Br1 Br 0.000 0.250 0.423
Br2 Br 0.000 0.250 0.825
Br3 Br 0.212 0.053 0.618
```

Principal peaks in the range 10 to 90 degrees two-theta, sorted by position:
2theta, I/Imax
18.5, 35
18.6, 100
19.0, 49
19.4, 36
19.8, 79
29.2, 47
32.1, 80
32.9, 36
33.6, 33
37.8, 48

---

5.
Theoretical PXRD pattern of Hg6PbAu4 for Cu Kα X-rays, from a DFT-relaxed cell (PBE, Alexandria).
Peak positions follow from Bragg's law for the DFT cell and can differ from measured ones.

Structure:
```
data_Hg6PbAu4
_cell_length_a 10.630
_cell_length_b 9.389
_cell_length_c 7.543
_cell_angle_alpha 90.00
_cell_angle_beta 133.15
_cell_angle_gamma 90.00
_space_group_name_H-M_alt 'C 1 m 1'
_space_group_IT_number 8
_space_group_name_Hall 'C -2y'
loop_
_atom_site_label
_atom_site_type_symbol
_atom_site_fract_x
_atom_site_fract_y
_atom_site_fract_z
Hg1 Hg 0.000 0.000 0.000
Hg2 Hg 0.140 0.500 0.957
Hg3 Hg 0.374 0.239 0.136
Hg4 Hg 0.385 0.307 0.562
Pb1 Pb 0.241 0.000 0.671
Au1 Au 0.089 0.500 0.270
Au2 Au 0.165 0.322 0.652
Au3 Au 0.353 0.000 0.393
```

Principal peaks in the range 10 to 90 degrees two-theta, sorted by position:
2theta, I/Imax
25.3, 57
29.9, 43
36.0, 39
37.0, 54
37.2, 65
37.9, 49
38.3, 42
38.6, 86
38.9, 100
39.4, 65

---

6.
Theoretical PXRD pattern of SrTm4B3O12 for Cu Kα X-rays, from a DFT-relaxed cell (PBE, Alexandria).
Peak positions follow from Bragg's law for the DFT cell and can differ from measured ones.

Structure:
```
data_SrTm4B3O12
_cell_length_a 7.697
_cell_length_b 7.697
_cell_length_c 7.697
_cell_angle_alpha 90.00
_cell_angle_beta 90.00
_cell_angle_gamma 90.00
_space_group_name_H-M_alt 'I m -3'
_space_group_IT_number 204
_space_group_name_Hall '-I 2 2 3'
loop_
_atom_site_label
_atom_site_type_symbol
_atom_site_fract_x
_atom_site_fract_y
_atom_site_fract_z
Sr1 Sr 0.000 0.000 0.000
Tm1 Tm 0.250 0.250 0.250
B1 B 0.000 0.000 0.500
O1 O 0.000 0.143 0.349
```

Principal peaks in the range 10 to 90 degrees two-theta, sorted by position:
2theta, I/Imax
23.1, 58
32.9, 100
40.6, 20
47.2, 18
53.2, 34
58.8, 44
69.0, 11
73.9, 11
78.6, 18
83.3, 9